# 1
Simulated X-ray powder pattern
Compound: HgPSe2S
Radiation: Cu Kα (λ = 1.5418 Å)
Structure: a DFT-relaxed cell (PBE, OQMD)

Main lines, low angle first (15 to 90 degrees two-theta):
2θ/deg	d [Å]	I (rel.)
16.57	5.350	59
17.56	5.051	51
24.16	3.684	39
24.84	3.585	74
25.70	3.467	64
27.03	3.299	41
27.73	3.217	37
28.09	3.177	81
30.48	2.933	58
30.98	2.886	61
33.04	2.711	100
33.97	2.639	47

Cell and atoms:
```
data_HgPSe2S
_space_group_name_H-M_alt 'P 1'
_space_group_IT_number 1
_cell_length_a 6.470
_cell_length_b 6.612
_cell_length_c 7.776
_cell_angle_alpha 68.03
_cell_angle_beta 84.48
_cell_angle_gamma 60.82
loop_
_space_group_symop_operation_xyz
'x,y,z'
loop_
_atom_site_label
_atom_site_fract_x
_atom_site_fract_y
_atom_site_fract_z
Hg1 0.124 0.123 0.153
Hg2 0.876 0.877 0.847
P1 0.476 0.460 0.157
P2 0.524 0.540 0.843
Se1 0.246 0.928 0.692
Se2 0.458 0.281 0.768
Se3 0.542 0.719 0.232
Se4 0.754 0.072 0.308
S1 0.140 0.507 0.196
S2 0.860 0.493 0.804
```

# 2
Simulated X-ray powder pattern
Compound: YNiBPd
Radiation: Cu Kα (λ = 1.5418 Å)
Structure: a DFT-relaxed cell (PBE, OQMD)

Main lines, low angle first (15 to 90 degrees two-theta):
2θ/deg	d [Å]	I (rel.)
24.90	3.577	30
28.82	3.097	10
41.22	2.190	100
48.75	1.868	15
51.07	1.788	3
59.71	1.549	16
65.70	1.421	6
67.63	1.385	3
75.13	1.264	32
80.58	1.192	4
89.49	1.095	10

Cell and atoms:
```
data_YNiBPd
_space_group_name_H-M_alt 'P 1'
_space_group_IT_number 1
_cell_length_a 6.195
_cell_length_b 6.195
_cell_length_c 6.195
_cell_angle_alpha 90.00
_cell_angle_beta 90.00
_cell_angle_gamma 90.00
loop_
_space_group_symop_operation_xyz
'x,y,z'
loop_
_atom_site_label
_atom_site_fract_x
_atom_site_fract_y
_atom_site_fract_z
Y1 0.000 0.000 0.000
Y2 0.000 0.500 0.500
Y3 0.500 0.000 0.500
Y4 0.500 0.500 0.000
Ni1 0.250 0.250 0.750
Ni2 0.250 0.750 0.250
Ni3 0.750 0.250 0.250
Ni4 0.750 0.750 0.750
B1 0.000 0.000 0.500
B2 0.000 0.500 0.000
B3 0.500 0.000 0.000
B4 0.500 0.500 0.500
Pd1 0.250 0.250 0.250
Pd2 0.250 0.750 0.750
Pd3 0.750 0.250 0.750
Pd4 0.750 0.750 0.250
```

# 3
Simulated X-ray powder pattern
Compound: Gd2GaBiS6
Radiation: Cu Kα (λ = 1.5418 Å)
Structure: a DFT-relaxed cell (PBE, OQMD)

Main lines, low angle first (15 to 90 degrees two-theta):
2θ/deg	d [Å]	I (rel.)
15.30	5.791	64
20.59	4.313	43
21.62	4.110	33
23.39	3.803	87
24.18	3.681	36
27.37	3.258	100
28.46	3.136	44
30.78	2.905	42
32.44	2.760	52
34.50	2.600	57
45.33	2.001	34
46.10	1.969	33

Cell and atoms:
```
data_Gd2GaBiS6
_space_group_name_H-M_alt 'P 1'
_space_group_IT_number 1
_cell_length_a 11.574
_cell_length_b 3.938
_cell_length_c 12.938
_cell_angle_alpha 90.00
_cell_angle_beta 116.22
_cell_angle_gamma 90.00
loop_
_space_group_symop_operation_xyz
'x,y,z'
loop_
_atom_site_label
_atom_site_fract_x
_atom_site_fract_y
_atom_site_fract_z
Gd1 0.033 0.250 0.276
Gd2 0.414 0.250 0.853
Gd3 0.586 0.750 0.147
Gd4 0.967 0.750 0.724
Ga1 0.271 0.750 0.597
Ga2 0.729 0.250 0.403
Bi1 0.196 0.750 0.107
Bi2 0.804 0.250 0.893
S1 0.038 0.250 0.897
S2 0.087 0.750 0.432
S3 0.226 0.750 0.758
S4 0.264 0.250 0.263
S5 0.396 0.250 0.626
S6 0.406 0.250 0.063
S7 0.594 0.750 0.937
S8 0.604 0.750 0.374
S9 0.736 0.750 0.737
S10 0.774 0.250 0.242
S11 0.913 0.250 0.568
S12 0.962 0.750 0.103
```

# 4
Simulated X-ray powder pattern
Compound: Al12Co17
Radiation: Cu Kα (λ = 1.5418 Å)
Structure: a DFT-relaxed cell (PBE, OQMD)

Main lines, low angle first (15 to 90 degrees two-theta):
2θ/deg	d [Å]	I (rel.)
24.60	3.618	12
37.99	2.369	13
40.72	2.216	8
43.31	2.089	100
45.78	1.982	8
48.15	1.890	43
50.44	1.809	12
52.66	1.738	18
56.90	1.618	8
75.91	1.253	15
79.46	1.206	21
86.45	1.126	8

Cell and atoms:
```
data_Al12Co17
_space_group_name_H-M_alt 'P 1'
_space_group_IT_number 1
_cell_length_a 7.676
_cell_length_b 7.676
_cell_length_c 7.676
_cell_angle_alpha 109.47
_cell_angle_beta 109.47
_cell_angle_gamma 109.47
loop_
_space_group_symop_operation_xyz
'x,y,z'
loop_
_atom_site_label
_atom_site_fract_x
_atom_site_fract_y
_atom_site_fract_z
Al1 0.000 0.412 0.697
Al2 0.000 0.697 0.412
Al3 0.285 0.588 0.588
Al4 0.303 0.303 0.715
Al5 0.303 0.715 0.303
Al6 0.412 0.000 0.697
Al7 0.412 0.697 0.000
Al8 0.588 0.285 0.588
Al9 0.588 0.588 0.285
Al10 0.697 0.000 0.412
Al11 0.697 0.412 0.000
Al12 0.715 0.303 0.303
Co1 0.000 0.000 0.000
Co2 0.000 0.000 0.661
Co3 0.000 0.190 0.371
Co4 0.000 0.371 0.190
Co5 0.000 0.661 0.000
Co6 0.181 0.810 0.810
Co7 0.190 0.000 0.371
Co8 0.190 0.371 0.000
Co9 0.339 0.339 0.339
Co10 0.371 0.000 0.190
Co11 0.371 0.190 0.000
Co12 0.629 0.629 0.819
Co13 0.629 0.819 0.629
Co14 0.661 0.000 0.000
Co15 0.810 0.181 0.810
Co16 0.810 0.810 0.181
Co17 0.819 0.629 0.629
```

# 5
Simulated X-ray powder pattern
Compound: LuAuSeO
Radiation: Cu Kα (λ = 1.5418 Å)
Structure: a DFT-relaxed cell (PBE, OQMD)

Main lines, low angle first (15 to 90 degrees two-theta):
2θ/deg	d [Å]	I (rel.)
18.50	4.796	60
27.91	3.197	39
29.51	3.027	100
32.41	2.763	99
33.82	2.650	94
36.32	2.473	77
37.63	2.390	46
43.30	2.090	41
47.55	1.912	82
50.46	1.808	62
58.59	1.576	37
60.42	1.532	35

Cell and atoms:
```
data_LuAuSeO
_space_group_name_H-M_alt 'P 1'
_space_group_IT_number 1
_cell_length_a 19.182
_cell_length_b 3.903
_cell_length_c 3.903
_cell_angle_alpha 89.89
_cell_angle_beta 90.00
_cell_angle_gamma 90.00
loop_
_space_group_symop_operation_xyz
'x,y,z'
loop_
_atom_site_label
_atom_site_fract_x
_atom_site_fract_y
_atom_site_fract_z
Lu1 0.055 0.250 0.750
Lu2 0.445 0.750 0.250
Lu3 0.555 0.250 0.750
Lu4 0.945 0.750 0.250
Au1 0.250 0.006 0.001
Au2 0.250 0.506 0.501
Au3 0.750 0.001 0.006
Au4 0.750 0.501 0.506
Se1 0.137 0.752 0.249
Se2 0.363 0.252 0.749
Se3 0.637 0.749 0.252
Se4 0.863 0.249 0.752
O1 0.000 0.250 0.250
O2 0.000 0.750 0.750
O3 0.500 0.250 0.250
O4 0.500 0.750 0.750
```

# 6
Simulated X-ray powder pattern
Compound: Hf4CuNiAs2
Radiation: Cu Kα (λ = 1.5418 Å)
Structure: a DFT-relaxed cell (PBE, OQMD)

Main lines, low angle first (15 to 90 degrees two-theta):
2θ/deg	d [Å]	I (rel.)
30.21	2.958	29
35.08	2.558	100
35.83	2.506	22
36.10	2.488	22
36.20	2.481	24
43.68	2.072	17
43.96	2.060	38
47.78	1.904	21
49.48	1.842	19
62.76	1.481	9
62.83	1.479	10
71.24	1.324	12

Cell and atoms:
```
data_Hf4CuNiAs2
_space_group_name_H-M_alt 'P 1'
_space_group_IT_number 1
_cell_length_a 5.303
_cell_length_b 3.684
_cell_length_c 7.594
_cell_angle_alpha 90.00
_cell_angle_beta 110.19
_cell_angle_gamma 90.00
loop_
_space_group_symop_operation_xyz
'x,y,z'
loop_
_atom_site_label
_atom_site_fract_x
_atom_site_fract_y
_atom_site_fract_z
Hf1 0.000 0.000 0.000
Hf2 0.053 0.500 0.637
Hf3 0.476 0.000 0.480
Hf4 0.541 0.500 0.136
Cu1 0.399 0.000 0.854
Ni1 0.132 0.500 0.270
As1 0.636 0.500 0.771
As2 0.901 0.000 0.353
```

# 7
Simulated X-ray powder pattern
Compound: NdAlGe
Radiation: Cu Kα (λ = 1.5418 Å)
Structure: a DFT-relaxed cell (PBE, OQMD)

Main lines, low angle first (15 to 90 degrees two-theta):
2θ/deg	d [Å]	I (rel.)
21.65	4.104	11
24.15	3.686	14
27.66	3.225	41
32.01	2.796	100
37.04	2.427	46
42.30	2.137	35
48.17	1.889	22
51.29	1.781	15
57.47	1.604	25
61.36	1.511	12
66.01	1.415	17
70.90	1.329	20

Cell and atoms:
```
data_NdAlGe
_space_group_name_H-M_alt 'P 1'
_space_group_IT_number 1
_cell_length_a 4.273
_cell_length_b 4.273
_cell_length_c 14.742
_cell_angle_alpha 90.00
_cell_angle_beta 90.00
_cell_angle_gamma 90.00
loop_
_space_group_symop_operation_xyz
'x,y,z'
loop_
_atom_site_label
_atom_site_fract_x
_atom_site_fract_y
_atom_site_fract_z
Nd1 0.000 0.000 0.000
Nd2 0.000 0.500 0.250
Nd3 0.500 0.000 0.750
Nd4 0.500 0.500 0.500
Al1 0.000 0.000 0.416
Al2 0.000 0.500 0.666
Al3 0.500 0.000 0.166
Al4 0.500 0.500 0.916
Ge1 0.000 0.000 0.582
Ge2 0.000 0.500 0.832
Ge3 0.500 0.000 0.332
Ge4 0.500 0.500 0.082
```

# 8
Simulated X-ray powder pattern
Compound: KTe4OsAu3
Radiation: Cu Kα (λ = 1.5418 Å)
Structure: a DFT-relaxed cell (PBE, OQMD)

Main lines, low angle first (15 to 90 degrees two-theta):
2θ/deg	d [Å]	I (rel.)
22.54	3.945	66
26.08	3.417	11
29.22	3.056	15
37.21	2.416	100
39.56	2.278	22
43.94	2.060	29
48.00	1.895	25
53.65	1.708	15
60.60	1.528	10
67.10	1.395	28
74.82	1.269	10
80.79	1.190	11

Cell and atoms:
```
data_KTe4OsAu3
_space_group_name_H-M_alt 'P 1'
_space_group_IT_number 1
_cell_length_a 6.834
_cell_length_b 6.834
_cell_length_c 6.834
_cell_angle_alpha 90.00
_cell_angle_beta 90.00
_cell_angle_gamma 90.00
loop_
_space_group_symop_operation_xyz
'x,y,z'
loop_
_atom_site_label
_atom_site_fract_x
_atom_site_fract_y
_atom_site_fract_z
K1 0.000 0.000 0.000
Te1 0.286 0.286 0.286
Te2 0.286 0.714 0.714
Te3 0.714 0.286 0.714
Te4 0.714 0.714 0.286
Os1 0.500 0.500 0.500
Au1 0.000 0.500 0.500
Au2 0.500 0.000 0.500
Au3 0.500 0.500 0.000
```

# 9
Simulated X-ray powder pattern
Compound: Rb3IrN6O12
Radiation: Cu Kα (λ = 1.5418 Å)
Structure: a DFT-relaxed cell (PBE, OQMD)

Main lines, low angle first (15 to 90 degrees two-theta):
2θ/deg	d [Å]	I (rel.)
24.27	3.668	100
29.83	2.995	10
34.58	2.594	61
42.70	2.118	58
45.43	1.997	12
49.71	1.834	31
56.07	1.640	26
61.97	1.497	9
67.57	1.386	31
78.18	1.223	21
83.31	1.160	9
88.39	1.106	10

Cell and atoms:
```
data_Rb3IrN6O12
_space_group_name_H-M_alt 'P 1'
_space_group_IT_number 1
_cell_length_a 7.336
_cell_length_b 7.336
_cell_length_c 7.336
_cell_angle_alpha 60.00
_cell_angle_beta 60.00
_cell_angle_gamma 60.00
loop_
_space_group_symop_operation_xyz
'x,y,z'
loop_
_atom_site_label
_atom_site_fract_x
_atom_site_fract_y
_atom_site_fract_z
Rb1 0.000 0.000 0.000
Rb2 0.250 0.250 0.250
Rb3 0.750 0.750 0.750
Ir1 0.500 0.500 0.500
N1 0.306 0.306 0.694
N2 0.306 0.694 0.306
N3 0.306 0.694 0.694
N4 0.694 0.306 0.306
N5 0.694 0.306 0.694
N6 0.694 0.694 0.306
O1 0.090 0.500 0.500
O2 0.090 0.500 0.910
O3 0.090 0.910 0.500
O4 0.500 0.090 0.500
O5 0.500 0.090 0.910
O6 0.500 0.500 0.090
O7 0.500 0.500 0.910
O8 0.500 0.910 0.090
O9 0.500 0.910 0.500
O10 0.910 0.090 0.500
O11 0.910 0.500 0.090
O12 0.910 0.500 0.500
```